Diffraction record for CaH8C2N4O5. The PXRD pattern is theoretical, not measured: it uses the GGA-PBE geometry in the Materials Project and Cu Kα (weighted mean of Kα1 and Kα2).
Neutral-atom scattering factors, no anomalous dispersion.

Structural model:
Cell: 6.437 7.819 7.990 Å, 79.55 83.67 73.86°
Space group P-1 (No. 2)
Unique sites:
1 Ca 0.195 0.118 0.052 [2 per cell]
2 H 0.154 0.368 0.325 [2 per cell]
3 H 0.158 0.490 0.130 [2 per cell]
4 H 0.195 0.781 0.556 [2 per cell]
5 H 0.198 0.339 0.719 [2 per cell]
6 H 0.219 0.491 0.829 [2 per cell]
7 H 0.291 0.049 0.433 [2 per cell]
8 H 0.477 0.486 0.244 [2 per cell]
9 H 0.481 0.885 0.352 [2 per cell]
10 C 0.028 0.819 0.340 [2 per cell]
11 C 0.381 0.745 0.859 [2 per cell]
12 N 0.198 0.826 0.428 [2 per cell]
13 N 0.232 0.372 0.205 [2 per cell]
14 N 0.319 0.949 0.359 [2 per cell]
15 N 0.449 0.370 0.221 [2 per cell]
16 O 0.018 0.889 0.183 [2 per cell]
17 O 0.107 0.263 0.575 [2 per cell]
18 O 0.194 0.715 0.859 [2 per cell]
19 O 0.252 0.359 0.826 [2 per cell]
20 O 0.421 0.872 0.919 [2 per cell]

The 10 most intense peaks (2θ from 10° to 80°), low angle first:
2θ = 11.28°, intensity 100.0, (0 0 1); 2θ = 11.93°, intensity 66.7, (0 1 0); 2θ = 23.44°, intensity 60.1, (-1 1 1); 2θ = 23.98°, intensity 21.9, (0 2 0); 2θ = 24.92°, intensity 16.5, (0 2 1); 2θ = 27.35°, intensity 92.0, (0 1 -2); 2θ = 32.28°, intensity 38.1, (-1 2 1); 2θ = 34.00°, intensity 17.9, (2 1 2); 2θ = 35.36°, intensity 21.0, (1 3 0); 2θ = 46.38°, intensity 16.3, (0 3 3)


Diffraction record for H2S. The PXRD pattern is theoretical, not measured: it uses the GGA-PBE geometry in the Materials Project and Cu Kα (weighted mean of Kα1 and Kα2).
Neutral-atom scattering factors, no anomalous dispersion.

Structural model:
Cell: 4.134 13.549 6.796 Å, 90.00 90.00 90.00°
Space group Pbcm (No. 57)
Unique sites:
1 H 0.174 0.120 0.104 [8 per cell]
2 H 0.308 0.572 0.750 [4 per cell]
3 H 0.326 0.719 0.750 [4 per cell]
4 S 0.039 0.599 0.250 [4 per cell]
5 S 0.459 0.144 0.750 [4 per cell]

The 10 most intense peaks (2θ from 10° to 80°), low angle first:
2θ = 26.26°, intensity 64.4, (0 0 2); 2θ = 28.50°, intensity 100.0, (1 2 1); 2θ = 29.46°, intensity 13.7, (0 4 1); 2θ = 37.49°, intensity 16.2, (0 4 2); 2θ = 45.78°, intensity 6.3, (1 6 0); 2θ = 47.74°, intensity 27.7, (1 2 3); 2θ = 51.79°, intensity 10.7, (2 0 2); 2θ = 53.53°, intensity 7.6, (1 6 2); 2θ = 55.94°, intensity 6.7, (0 8 1); 2θ = 58.98°, intensity 6.3, (2 4 2)


Diffraction record for YWN3. The PXRD pattern is theoretical, not measured: it uses the GGA-PBE geometry in the Materials Project and Cu Kα (weighted mean of Kα1 and Kα2).
Neutral-atom scattering factors, no anomalous dispersion.

Structural model:
Cell: 5.5852 5.5852 13.8932 Å, 90.00 90.00 120.00°
Space group R3c (No. 161, hexagonal axes)
Unique sites:
1 Y 0.0000 0.0000 0.0000 [6 per cell]
2 W 0.0000 0.0000 0.2602 [6 per cell]
3 N 0.0035 0.4180 0.0322 [18 per cell]

The 10 most intense peaks (2θ from 10° to 80°), low angle first:
2θ = 22.40°, intensity 35.3, (0 1 2); 2θ = 31.72°, intensity 100.0, (1 0 4); 2θ = 32.05°, intensity 92.3, (1 1 0); 2θ = 45.71°, intensity 44.6, (0 2 4); 2θ = 56.28°, intensity 19.7, (0 1 8); 2θ = 56.92°, intensity 39.6, (2 1 4); 2θ = 57.13°, intensity 21.9, (3 0 0); 2θ = 67.03°, intensity 12.9, (2 2 0); 2θ = 75.51°, intensity 16.5, (1 2 8); 2θ = 76.05°, intensity 15.8, (1 3 4)


Diffraction record for YClO. The PXRD pattern is theoretical, not measured: it uses the GGA-PBE geometry in the Materials Project and Cu Kα (weighted mean of Kα1 and Kα2).
Neutral-atom scattering factors, no anomalous dispersion.

Structural model:
Cell: 3.930 3.930 6.735 Å, 90.00 90.00 90.00°
Space group P4/nmm (No. 129, origin choice 2)
Unique sites:
1 Y 0.250 0.250 0.167 [2 per cell]
2 Cl 0.250 0.250 0.628 [2 per cell]
3 O 0.250 0.750 0.000 [2 per cell]

The 10 most intense peaks (2θ from 10° to 80°), low angle first:
2θ = 13.15°, intensity 29.5, (0 0 1); 2θ = 26.25°, intensity 44.9, (1 0 1); 2θ = 32.21°, intensity 58.5, (1 1 0); 2θ = 35.09°, intensity 100.0, (1 0 2); 2θ = 42.16°, intensity 17.7, (1 1 2); 2θ = 46.20°, intensity 33.9, (2 0 0); 2θ = 52.39°, intensity 15.2, (1 1 3); 2θ = 53.91°, intensity 13.0, (2 1 1); 2θ = 59.31°, intensity 39.8, (2 1 2); 2θ = 59.75°, intensity 10.3, (1 0 4)


Diffraction record for Ba2SnS3F2. The PXRD pattern is theoretical, not measured: it uses the GGA-PBE geometry in the Materials Project and Cu Kα (weighted mean of Kα1 and Kα2).
Neutral-atom scattering factors, no anomalous dispersion.

Structural model:
Cell: 6.308 19.595 6.435 Å, 90.00 90.00 90.00°
Space group Pnma (No. 62)
Unique sites:
1 Ba 0.247 0.077 0.002 [8 per cell]
2 Sn 0.157 0.750 0.915 [4 per cell]
3 S 0.237 0.250 0.042 [4 per cell]
4 S 0.245 0.138 0.516 [8 per cell]
5 F 0.001 0.001 0.748 [8 per cell]

The 10 most intense peaks (2θ from 10° to 80°), low angle first:
2θ = 24.00°, intensity 100.0, (1 3 1); 2θ = 27.31°, intensity 26.7, (0 6 0); 2θ = 27.73°, intensity 32.1, (0 0 2); 2θ = 28.30°, intensity 29.6, (2 0 0); 2θ = 30.23°, intensity 24.1, (1 5 1); 2θ = 39.31°, intensity 22.4, (0 6 2); 2θ = 39.73°, intensity 20.2, (2 6 0); 2θ = 40.03°, intensity 28.8, (2 0 2); 2θ = 46.32°, intensity 32.8, (1 9 1); 2θ = 51.32°, intensity 12.6, (3 5 1)


Diffraction record for AcCe3. The PXRD pattern is theoretical, not measured: it uses the GGA-PBE geometry in the Materials Project and Cu Kα (weighted mean of Kα1 and Kα2).
Neutral-atom scattering factors, no anomalous dispersion.

Structural model:
Cell: 7.1745 7.1745 5.8773 Å, 90.00 90.00 120.00°
Space group P6_3/mmc (No. 194)
Unique sites:
1 Ac 0.3333 0.6667 0.2500 [2 per cell]
2 Ce 0.1565 0.3130 0.7500 [6 per cell]

The 10 most intense peaks (2θ from 10° to 80°), low angle first:
2θ = 20.80°, intensity 7.4, (1 0 1); 2θ = 28.74°, intensity 23.1, (2 0 0); 2θ = 30.42°, intensity 27.2, (0 0 2); 2θ = 32.60°, intensity 100.0, (2 0 1); 2θ = 42.34°, intensity 16.3, (2 0 2); 2θ = 50.91°, intensity 18.4, (2 2 0); 2θ = 55.45°, intensity 22.3, (2 0 3); 2θ = 60.47°, intensity 22.0, (2 2 2); 2θ = 61.77°, intensity 15.0, (4 0 1); 2θ = 78.60°, intensity 7.6, (4 0 3)


Which formula does entry 3 have? YWN3